1.
This entry pairs a crystal structure of V4O3F9 with its simulated powder diffraction line list. Radiation: Cu Kα X-rays. Structure: a DFT-relaxed cell (PBE+U, the Materials Project).

Principal peaks in the range 10 to 80 degrees two-theta, in order of falling intensity:
- (1 1 3), 23.73 deg, rel. 1000
- (0 1 -3), 23.37 deg, rel. 494
- (2 2 6), 48.57 deg, rel. 203
- (2 3 3), 53.97 deg, rel. 158
- (1 2 0), 33.11 deg, rel. 125
- (1 3 -3), 53.43 deg, rel. 121

Structure:
Lattice parameters (Å, degrees): 5.221 5.414 17.540 89.82 81.49 61.25
Space group P1 (No. 1)
Unique sites:
1 V 0.000 0.000 0.000 (multiplicity 1)
2 V 0.016 0.502 0.500 (multiplicity 1)
3 V 0.231 0.405 0.129 (multiplicity 1)
4 V 0.268 0.904 0.634 (multiplicity 1)
5 V 0.486 0.274 0.757 (multiplicity 1)
6 V 0.519 0.767 0.252 (multiplicity 1)
7 V 0.778 0.637 0.877 (multiplicity 1)
8 V 0.812 0.130 0.376 (multiplicity 1)
9 O 0.169 0.943 0.335 (multiplicity 1)
10 O 0.191 0.419 0.830 (multiplicity 1)
11 O 0.348 0.049 0.706 (multiplicity 1)
12 O 0.867 0.811 0.960 (multiplicity 1)
13 O 0.871 0.589 0.168 (multiplicity 1)
14 O 0.876 0.320 0.460 (multiplicity 1)
15 F 0.185 0.725 0.546 (multiplicity 1)
16 F 0.186 0.220 0.040 (multiplicity 1)
17 F 0.238 0.705 0.065 (multiplicity 1)
18 F 0.245 0.197 0.564 (multiplicity 1)
19 F 0.296 0.574 0.688 (multiplicity 1)
20 F 0.309 0.068 0.186 (multiplicity 1)
21 F 0.352 0.859 0.918 (multiplicity 1)
22 F 0.359 0.543 0.212 (multiplicity 1)
23 F 0.370 0.359 0.419 (multiplicity 1)
24 F 0.677 0.482 0.790 (multiplicity 1)
25 F 0.677 0.991 0.293 (multiplicity 1)
26 F 0.679 0.187 0.088 (multiplicity 1)
27 F 0.693 0.673 0.588 (multiplicity 1)
28 F 0.733 0.463 0.316 (multiplicity 1)
29 F 0.737 0.957 0.813 (multiplicity 1)
30 F 0.794 0.333 0.942 (multiplicity 1)
31 F 0.805 0.840 0.443 (multiplicity 1)
32 F 0.836 0.106 0.669 (multiplicity 1)

***

2.
This entry pairs a crystal structure of Li2VCrO4 with its simulated powder diffraction line list. Radiation: Cu Kα X-rays. Structure: a DFT-relaxed cell (PBE+U, the Materials Project).

Principal peaks in the range 10 to 80 degrees two-theta, in order of falling intensity:
- (0 0 1), 18.12 deg, rel. 1000
- (1 1 1), 43.12 deg, rel. 562
- (0 2 0), 62.66 deg, rel. 303
- (2 0 -2), 42.74 deg, rel. 290
- (1 1 0), 35.53 deg, rel. 265
- (1 1 -3), 61.95 deg, rel. 153

Structure:
Lattice parameters (Å, degrees): 5.131 2.966 5.206 90.00 109.92 90.00
Space group P2/m (No. 10)
Unique sites:
1 Li 0.000 0.000 0.000 (multiplicity 1)
2 Li 0.500 0.500 0.000 (multiplicity 1)
3 V 0.000 0.500 0.500 (multiplicity 1)
4 Cr 0.500 0.000 0.500 (multiplicity 1)
5 O 0.245 0.000 0.728 (multiplicity 2)
6 O 0.261 0.500 0.271 (multiplicity 2)